Simulated powder XRD pattern of CsK3Rb8 for a wavelength of 1.5418 Å, from DFT lattice parameters and positions (PBE).

Structure:
Cell: 17.3909 17.3909 7.9983 Å, 103.27 103.27 26.56°
Atoms (fractional coordinates):
1 Cs 0.0000 0.0000 0.0000
2 K 0.4137 0.4137 0.9111
3 K 0.5872 0.5872 0.0921
4 K 0.8353 0.8353 0.8393
5 Rb 0.0879 0.0879 0.5850
6 Rb 0.1688 0.1688 0.1656
7 Rb 0.2555 0.2555 0.7516
8 Rb 0.3367 0.3367 0.3324
9 Rb 0.5014 0.5014 0.5032
10 Rb 0.6684 0.6684 0.6737
11 Rb 0.7525 0.7525 0.2577
12 Rb 0.9132 0.9132 0.4162

Most intense lines, 2θ = 5–70°, by angle:
2theta, Rel. int.
22.2, 52
22.6, 100
31.7, 21
32.7, 9
39.2, 46
39.9, 21
46.1, 14
51.1, 10
51.3, 11
52.6, 9
61.5, 12
62.0, 11

Simulated powder XRD pattern of Sc2Nb for a wavelength of 1.5418 Å, from DFT lattice parameters and positions (PBE).

Structure:
Cell: 5.4533 5.4533 5.4533 Å, 140.85 140.85 56.57°
Atoms (fractional coordinates):
1 Sc 0.1573 0.1573 0.0000
2 Sc 0.8427 0.8427 0.0000
3 Nb 0.5000 0.5000 0.0000

Most intense lines, 2θ = 5–70°, by angle:
2theta, Rel. int.
18.5, 16
26.1, 16
34.7, 63
37.3, 100
39.6, 9
49.9, 21
53.7, 4
53.9, 6
57.2, 4
57.6, 6
64.0, 38
69.0, 14

Simulated powder XRD pattern of Cd2In2Hg5 for a wavelength of 1.5418 Å, from DFT lattice parameters and positions (PBE).

Structure:
Cell: 7.8706 7.8706 9.7072 Å, 90.00 90.00 53.76°
Atoms (fractional coordinates):
1 Cd 0.2197 0.2197 0.0000
2 Cd 0.2803 0.2803 0.5000
3 Cd 0.7197 0.7197 0.5000
4 Cd 0.7803 0.7803 0.0000
5 In 0.1189 0.8811 0.6322
6 In 0.3811 0.6189 0.1322
7 In 0.6189 0.3811 0.8678
8 In 0.8811 0.1189 0.3678
9 Hg 0.0000 0.0000 0.0000
10 Hg 0.0474 0.6595 0.3096
11 Hg 0.1595 0.5474 0.8096
12 Hg 0.3405 0.9526 0.3096
13 Hg 0.4526 0.8405 0.8096
14 Hg 0.5000 0.5000 0.5000
15 Hg 0.5474 0.1595 0.1904
16 Hg 0.6595 0.0474 0.6904
17 Hg 0.8405 0.4526 0.1904
18 Hg 0.9526 0.3405 0.6904

Most intense lines, 2θ = 5–70°, by angle:
2theta, Rel. int.
29.3, 100
29.6, 22
31.0, 61
31.2, 82
31.5, 75
35.9, 60
37.2, 46
38.5, 26
39.6, 28
39.8, 21
43.9, 44
58.9, 22